Record 1
Simulated PXRD pattern of BaScSn for Cu Kα X-rays, from a DFT-relaxed cell (GGA-PBE, Alexandria).

Top 12 peaks for 2θ = 10–80°, sorted by position:
3.540 Å, 25.16°, intensity 76; 3.253 Å, 27.42°, intensity 20; 3.182 Å, 28.05°, intensity 100; 2.685 Å, 33.37°, intensity 65; 2.503 Å, 35.87°, intensity 63; 1.967 Å, 46.14°, intensity 51; 1.905 Å, 47.74°, intensity 27; 1.770 Å, 51.64°, intensity 22; 1.583 Å, 58.28°, intensity 16; 1.516 Å, 61.13°, intensity 26; 1.478 Å, 62.88°, intensity 20; 1.316 Å, 71.73°, intensity 14

abc: 5.0066 5.0066 8.2412
angles: 90.00 90.00 90.00
Fractional coordinates of all 6 atoms:
Ba 0.2500 0.2500 0.1555
Ba 0.7500 0.7500 0.8445
Sc 0.2500 0.7500 0.5000
Sc 0.7500 0.2500 0.5000
Sn 0.2500 0.2500 0.7012
Sn 0.7500 0.7500 0.2988



Record 2
Simulated PXRD pattern of Ac2CdC2 for Cu Kα X-rays, from a DFT-relaxed cell (GGA-PBE, Alexandria).

Top 12 peaks for 2θ = 10–80°, sorted by position:
3.961 Å, 22.45°, intensity 16; 3.410 Å, 26.13°, intensity 100; 3.394 Å, 26.26°, intensity 26; 3.369 Å, 26.46°, intensity 39; 3.344 Å, 26.66°, intensity 58; 2.789 Å, 32.09°, intensity 24; 2.723 Å, 32.90°, intensity 96; 2.641 Å, 33.95°, intensity 28; 2.153 Å, 41.96°, intensity 32; 2.078 Å, 43.55°, intensity 29; 1.758 Å, 52.03°, intensity 16; 1.752 Å, 52.22°, intensity 16

abc: 8.9767 8.9767 7.4198
angles: 113.72 113.72 28.19
Fractional coordinates of all 10 atoms:
Ac 0.0220 0.6760 0.9120
Ac 0.3240 0.9780 0.5880
Ac 0.6760 0.0220 0.4120
Ac 0.9780 0.3240 0.0880
Cd 0.3829 0.6171 0.7500
Cd 0.6171 0.3829 0.2500
C 0.1357 0.4089 0.4835
C 0.4089 0.1357 0.9835
C 0.5911 0.8643 0.0165
C 0.8643 0.5911 0.5165